For DyLu2Hg, a DFT-relaxed cell (PBE, OQMD) gives the calculated XRD peak list in this record (CuKα).
Kinematic intensities with the Lorentz-polarization factor, no thermal factor.

Atomic structure:
```
DyLu2Hg
1.0
5.3531 0.0000 0.0000
0.0000 7.1307 0.0000
0.0000 0.0000 11.3977
Dy Lu Hg
4 8 4
Cartesian
0.0000 0.0000 0.0000
0.0000 3.5654 5.6989
2.6765 0.0000 3.6296
2.6765 3.5654 9.3285
0.0000 0.0000 5.6930
0.0000 1.7737 2.8001
0.0000 1.7916 8.4989
0.0000 3.5654 11.3918
0.0000 5.3391 8.4989
0.0000 5.3570 2.8001
2.6765 0.0000 9.2684
2.6765 3.5654 3.5695
2.6765 1.7451 6.5878
2.6765 1.8202 0.8890
2.6765 5.3105 0.8890
2.6765 5.3856 6.5878
```

Top 6 peaks for 10° ≤ 2θ ≤ 90°, by angle:
| Position (°2θ) | Rel. int. |
| --- | --- |
| 29.6 | 19 |
| 33.5 | 33 |
| 34.1 | 100 |
| 35.7 | 36 |
| 60.2 | 20 |
| 65.7 | 18 |